This entry pairs a crystal structure of Li6Tl2Rh3 with its computed X-ray powder pattern. Radiation: λ = 1.5418 Å (Cu Kα). Structure: a DFT-relaxed cell (GGA-PBE, Alexandria).
Kinematic intensities with the Lorentz-polarization factor, no thermal factor.

Principal peaks in the range 2θ from 10° to 90°, most intense first:
22.3°, d 3.995, rel. 100; 37.5°, d 2.398, rel. 42; 16.7°, d 5.324, rel. 34; 40.3°, d 2.236, rel. 31; 21.6°, d 4.110, rel. 27; 37.9°, d 2.374, rel. 24; 47.6°, d 1.909, rel. 23; 44.9°, d 2.017, rel. 21; 41.9°, d 2.155, rel. 18; 30.3°, d 2.952, rel. 17

Crystal structure
Cell lengths 8.375, 8.375, 2.952 Å; angles 90.00, 90.00, 101.06 degrees
Element x y z (fractional)
1 Li 0.118 0.118 0.000
2 Li 0.189 0.512 0.000
3 Li 0.488 0.811 0.000
4 Li 0.512 0.189 0.000
5 Li 0.811 0.488 0.000
6 Li 0.882 0.882 0.000
7 Tl 0.170 0.830 0.500
8 Tl 0.830 0.170 0.500
9 Rh 0.301 0.301 0.500
10 Rh 0.500 0.500 0.000
11 Rh 0.699 0.699 0.500